Diffraction record for ErNiTe2O8. The powder diffractogram is computed, not measured: it uses a DFT-relaxed cell (GGA+U, Alexandria) and Cu Kα (λ = 1.5418 Å).
Peak positions follow from Bragg's law for the DFT cell and can differ from measured ones.

Peak list (8 most intense, 2θ = 10–80°, low angle first)
| 2θ/deg | d (Å) | Rel. int. |
| --- | --- | --- |
| 25.12 | 3.546 | 1000 |
| 31.88 | 2.807 | 862 |
| 35.82 | 2.507 | 229 |
| 48.70 | 1.870 | 671 |
| 51.55 | 1.773 | 167 |
| 58.18 | 1.586 | 154 |
| 60.59 | 1.528 | 158 |
| 61.90 | 1.499 | 192 |

Structure:
```
data_ErNiTe2O8
_symmetry_space_group_name_H-M 'P 1'
_symmetry_Int_Tables_number 1
_symmetry_space_group_name_Hall 'P 1'
_cell_length_a 6.051
_cell_length_b 6.051
_cell_length_c 6.051
_cell_angle_alpha 108.26
_cell_angle_beta 108.26
_cell_angle_gamma 111.92
loop_
_atom_site_label
_atom_site_type_symbol
_atom_site_fract_x
_atom_site_fract_y
_atom_site_fract_z
_atom_site_occupancy
Er1 Er 0.000 0.000 0.000 1
Ni1 Ni 0.750 0.250 0.500 1
Te1 Te 0.250 0.750 0.500 1
Te2 Te 0.500 0.500 0.000 1
O1 O 0.065 0.375 0.310 1
O2 O 0.065 0.755 0.690 1
O3 O 0.105 0.301 0.804 1
O4 O 0.245 0.935 0.310 1
O5 O 0.497 0.301 0.196 1
O6 O 0.625 0.935 0.690 1
O7 O 0.699 0.503 0.804 1
O8 O 0.699 0.895 0.196 1
```